Structure and simulated PXRD pattern of Ca6SbO8 (a DFT-relaxed cell (GGA-PBE, Alexandria); λ = 1.5418 Å (Cu Kα)).
No peak broadening, texture or thermal motion is included.

The 10 most intense peaks (2θ from 5° to 70°), sorted by position:
| 2θ (°) | d_spacing | I_rel |
| --- | --- | --- |
| 15.9 | 5.577 | 87 |
| 30.7 | 2.913 | 37 |
| 32.1 | 2.789 | 48 |
| 37.2 | 2.415 | 100 |
| 40.7 | 2.216 | 12 |
| 49.0 | 1.859 | 18 |
| 53.7 | 1.708 | 59 |
| 56.3 | 1.633 | 17 |
| 63.9 | 1.456 | 23 |
| 67.1 | 1.394 | 18 |

Cell and atoms:
abc: 6.8309 6.8309 6.8309
angles: 60.00 60.00 60.00
Positions (direct):
Ca 0.0000 0.0000 0.5000
Ca 0.0000 0.5000 0.0000
Ca 0.0000 0.5000 0.5000
Ca 0.5000 0.0000 0.0000
Ca 0.5000 0.0000 0.5000
Ca 0.5000 0.5000 0.0000
Sb 0.0000 0.0000 0.0000
O 0.2242 0.2242 0.7758
O 0.2242 0.7758 0.2242
O 0.2242 0.7758 0.7758
O 0.2500 0.2500 0.2500
O 0.7500 0.7500 0.7500
O 0.7758 0.2242 0.2242
O 0.7758 0.2242 0.7758
O 0.7758 0.7758 0.2242